# CeEuThIn
Simulated powder diffractogram, Cu Kα (weighted mean of Kα1 and Kα2). Input: the GGA-PBE geometry in Alexandria.

Main lines, most intense first (2θ from 10° to 90°):
2θ/deg  I_rel
32.5  100
57.9  38
46.6  18
77.4  17
68.0  12
86.4  4
22.8  4
19.7  3

```
CeEuThIn
1.0
0.0000 3.8995 3.8995
3.8995 0.0000 3.8995
3.8995 3.8995 0.0000
Ce Eu Th In
1 1 1 1
Cartesian
0.0000 0.0000 0.0000
1.9498 1.9498 1.9498
5.8493 5.8493 5.8493
3.8995 3.8995 3.8995
```